(1)
Computed PXRD pattern
Compound: PrH3CSO7
Radiation: Cu Kα (λ = 1.5418 Å)
Structure: a DFT-relaxed cell (GGA-PBE, the Materials Project)
No peak broadening, texture or thermal motion is included.

Crystal structure
```
data_PrH3CSO7
_chemical_formula_sum 'Pr4 H12 C4 S4 O28'
_cell_length_a 7.0595
_cell_length_b 7.0595
_cell_length_c 11.9805
_cell_angle_alpha 90.00
_cell_angle_beta 90.00
_cell_angle_gamma 90.00
_symmetry_space_group_name_H-M 'P 41'
_symmetry_Int_Tables_number 76
loop_
_symmetry_equiv_pos_as_xyz
'x,y,z'
'-y,x,z+1/4'
'-x,-y,z+1/2'
'y,-x,z+3/4'
loop_
_atom_site_label
_atom_site_type_symbol
_atom_site_fract_x
_atom_site_fract_y
_atom_site_fract_z
_atom_site_occupancy
Pr1 Pr 0.1145 0.6312 0.0000 1
H1 H 0.0316 0.1403 0.9592 1
H2 H 0.1754 0.3997 0.7812 1
H3 H 0.3829 0.4588 0.8182 1
C1 C 0.1135 0.1359 0.0373 1
S1 S 0.2350 0.6127 0.3059 1
O1 O 0.0246 0.1610 0.3282 1
O2 O 0.1118 0.6333 0.2062 1
O3 O 0.1175 0.5590 0.4028 1
O4 O 0.1558 0.2907 0.0852 1
O5 O 0.2063 0.3304 0.5821 1
O6 O 0.2537 0.4317 0.8459 1
O7 O 0.3817 0.4621 0.2854 1
```

The 10 most intense peaks (10° ≤ 2θ ≤ 80°), most intense first:
14.56 deg, d 6.082, I = 100
26.32 deg, d 3.386, I = 70
19.43 deg, d 4.568, I = 68
33.89 deg, d 2.645, I = 40
28.27 deg, d 3.157, I = 40
41.56 deg, d 2.173, I = 37
41.18 deg, d 2.192, I = 31
25.63 deg, d 3.476, I = 30
39.08 deg, d 2.305, I = 29
17.77 deg, d 4.992, I = 29

(2)
Computed PXRD pattern
Compound: PrH3CSO7
Radiation: Cu Kα (λ = 1.5418 Å)
Structure: a DFT-relaxed cell (GGA-PBE, the Materials Project)
No peak broadening, texture or thermal motion is included.

Crystal structure
```
data_PrH3CSO7
_chemical_formula_sum 'Pr4 H12 C4 S4 O28'
_cell_length_a 7.0445
_cell_length_b 7.0445
_cell_length_c 12.0110
_cell_angle_alpha 90.00
_cell_angle_beta 90.00
_cell_angle_gamma 90.00
_symmetry_space_group_name_H-M 'P 43'
_symmetry_Int_Tables_number 78
loop_
_symmetry_equiv_pos_as_xyz
'x,y,z'
'-y,x,z+3/4'
'-x,-y,z+1/2'
'y,-x,z+1/4'
loop_
_atom_site_label
_atom_site_type_symbol
_atom_site_fract_x
_atom_site_fract_y
_atom_site_fract_z
_atom_site_occupancy
Pr1 Pr 0.1148 0.6306 0.0000 1
H1 H 0.0201 0.1395 0.0365 1
H2 H 0.1746 0.3957 0.2166 1
H3 H 0.3826 0.4591 0.1824 1
C1 C 0.1088 0.1354 0.9611 1
S1 S 0.2351 0.6133 0.6937 1
O1 O 0.0255 0.1602 0.6715 1
O2 O 0.1110 0.6332 0.7930 1
O3 O 0.1178 0.5598 0.5967 1
O4 O 0.1546 0.2905 0.9142 1
O5 O 0.2051 0.3312 0.4180 1
O6 O 0.2550 0.4290 0.1529 1
O7 O 0.3824 0.4623 0.7143 1
```

The 10 most intense peaks (10° ≤ 2θ ≤ 80°), most intense first:
14.58 deg, d 6.077, I = 100
26.37 deg, d 3.380, I = 71
19.42 deg, d 4.570, I = 70
33.90 deg, d 2.645, I = 41
28.33 deg, d 3.150, I = 41
41.55 deg, d 2.174, I = 38
29.33 deg, d 3.045, I = 32
41.25 deg, d 2.188, I = 31
25.59 deg, d 3.481, I = 31
39.14 deg, d 2.301, I = 30